Diffraction record for LiBi3Br2O4. The X-ray diffraction stick pattern is theoretical, not measured: it uses a structure optimized by DFT (GGA-PBE) and Cu Kα (λ = 1.5418 Å).
No peak broadening, texture or thermal motion is included.

Crystal structure
Cell: 5.566 5.564 12.867 Å, 90.00 90.00 90.00°
Space group Amm2 (No. 38)
Inequivalent atoms, fractional coordinates:
Li 0.000 0.000 0.000 [2 per cell]
Bi 0.000 0.000 0.363 [2 per cell]
Bi 0.500 0.000 0.543 [2 per cell]
Bi 0.500 0.000 0.866 [2 per cell]
Br 0.000 0.000 0.718 [2 per cell]
Br 0.500 0.000 0.207 [2 per cell]
O 0.252 0.247 0.454 [8 per cell]

Most intense lines, 2θ from 10° to 90°, sorted by position:
2θ 13.8, I = 20, hkl 0 0 2; 2θ 17.4, I = 12, hkl 0 1 1; 2θ 23.6, I = 16, hkl 1 1 1; 2θ 30.8, I = 100, hkl 1 1 3; 2θ 32.2, I = 40, hkl 2 0 0; 2θ 46.1, I = 21, hkl 2 2 0; 2θ 54.0, I = 23, hkl 2 0 6; 2θ 56.5, I = 37, hkl 3 1 3; 2θ 64.3, I = 10, hkl 2 2 6; 2θ 88.0, I = 10, hkl 3 1 9